# 1
Structure and theoretical PXRD pattern of Ca3Zn2In (the PBE geometry in Alexandria; a wavelength of 1.5418 Å).
Peak positions follow from Bragg's law for the DFT cell and can differ from measured ones.

Largest 10 diffraction maxima, sorted by position, 15 to 90 degrees two-theta:
2theta  I_rel
24.10  13
33.61  100
34.27  24
34.43  23
47.16  9
49.37  16
59.58  9
60.95  16
61.16  15
70.66  10

Crystal structure
```
Ca3Zn2In
1.0
2.617 -7.815 0.000
2.617 7.815 0.000
0.000 0.000 3.855
Ca Zn In
3 2 1
Cartesian
0.000 0.000 0.000 Ca
2.617 2.684 0.000 Ca
2.617 -2.684 0.000 Ca
2.617 5.289 1.927 Zn
2.617 -5.289 1.927 Zn
2.617 0.000 1.927 In
```

***

# 2
Structure and theoretical PXRD pattern of Ca8Zn2In (the PBE geometry in Alexandria; a wavelength of 1.5418 Å).
Peak positions follow from Bragg's law for the DFT cell and can differ from measured ones.

Largest 10 diffraction maxima, sorted by position, 15 to 90 degrees two-theta:
2theta  I_rel
19.21  38
20.19  22
28.74  30
29.32  29
30.35  21
30.57  21
32.75  100
33.06  47
36.91  33
39.02  20

Crystal structure
```
Ca8Zn2In
1.0
4.640 -8.773 0.000
4.640 8.773 0.000
-3.164 0.000 4.399
Ca Zn In
8 2 1
Cartesian
0.000 0.000 0.000 Ca
2.644 5.991 1.901 Ca
0.852 3.699 3.951 Ca
0.278 0.000 3.535 Ca
3.589 1.823 2.582 Ca
0.852 -3.699 3.951 Ca
3.589 -1.823 2.582 Ca
2.644 -5.991 1.901 Ca
1.171 2.853 0.842 Zn
1.171 -2.853 0.842 Zn
6.011 0.000 0.985 In
```

***

# 3
Structure and theoretical PXRD pattern of Ca3Zn2In2 (the PBE geometry in Alexandria; a wavelength of 1.5418 Å).
Peak positions follow from Bragg's law for the DFT cell and can differ from measured ones.

Largest 10 diffraction maxima, sorted by position, 15 to 90 degrees two-theta:
2theta  I_rel
21.08  28
23.49  33
31.76  100
33.74  90
35.00  71
42.10  29
42.59  27
55.00  35
60.82  26
63.17  22

Crystal structure
```
Ca3Zn2In2
1.0
2.146 -11.186 0.000
2.146 11.186 0.000
0.000 0.000 3.787
Ca Zn In
3 2 2
Cartesian
0.000 0.000 0.000 Ca
2.146 7.500 0.000 Ca
2.146 -7.500 0.000 Ca
2.146 4.926 1.894 Zn
2.146 -4.926 1.894 Zn
2.146 1.885 1.894 In
2.146 -1.885 1.894 In
```

***

# 4
Structure and theoretical PXRD pattern of Ca6Ir (the PBE geometry in Alexandria; a wavelength of 1.5418 Å).
Peak positions follow from Bragg's law for the DFT cell and can differ from measured ones.

Largest 10 diffraction maxima, sorted by position, 15 to 90 degrees two-theta:
2theta  I_rel
15.53  100
16.43  65
20.95  36
26.35  26
29.47  66
31.35  26
33.33  65
43.68  30
45.89  49
75.71  24

Crystal structure
```
Ca6Ir
1.0
13.015 0.000 0.000
0.000 11.878 0.000
0.000 0.000 6.842
Ca Ir
24 4
Cartesian
0.036 2.969 1.677 Ca
0.052 1.004 5.145 Ca
0.052 4.935 5.145 Ca
3.225 1.021 0.560 Ca
3.225 4.918 0.560 Ca
3.259 2.969 4.033 Ca
3.249 8.908 0.612 Ca
3.282 6.960 3.981 Ca
3.282 10.857 3.981 Ca
6.456 6.943 1.724 Ca
6.456 10.874 1.724 Ca
6.471 8.908 5.098 Ca
6.543 2.969 1.744 Ca
6.559 1.004 5.118 Ca
6.559 4.935 5.118 Ca
9.733 1.021 2.861 Ca
9.733 4.918 2.861 Ca
9.766 2.969 6.230 Ca
9.756 8.908 2.809 Ca
9.790 6.960 6.282 Ca
9.790 10.857 6.282 Ca
12.963 6.943 1.697 Ca
12.963 10.874 1.697 Ca
12.979 8.908 5.165 Ca
1.626 2.969 6.264 Ir
4.881 8.908 2.843 Ir
8.134 2.969 3.999 Ir
11.389 8.908 0.578 Ir
```

***

- Number 2 is which compound?
  Ca8Zn2In

***

Please write out number 1 again, unchanged.
Structure and theoretical PXRD pattern of Ca3Zn2In (the PBE geometry in Alexandria; a wavelength of 1.5418 Å).
Peak positions follow from Bragg's law for the DFT cell and can differ from measured ones.

Largest 10 diffraction maxima, sorted by position, 15 to 90 degrees two-theta:
2theta  I_rel
24.10  13
33.61  100
34.27  24
34.43  23
47.16  9
49.37  16
59.58  9
60.95  16
61.16  15
70.66  10

Crystal structure
```
Ca3Zn2In
1.0
2.617 -7.815 0.000
2.617 7.815 0.000
0.000 0.000 3.855
Ca Zn In
3 2 1
Cartesian
0.000 0.000 0.000 Ca
2.617 2.684 0.000 Ca
2.617 -2.684 0.000 Ca
2.617 5.289 1.927 Zn
2.617 -5.289 1.927 Zn
2.617 0.000 1.927 In
```